Record 1
Structure and theoretical X-ray diffraction stick pattern of BaSi2Rh2 (a crystal structure in the Materials Project, relaxed with GGA-PBE; Cu Kα, 1.54184 Å).
Lines closer than 0.1° are merged.

Crystal structure
```
data_BaSi2Rh2
_space_group_name_H-M_alt 'P 1 21/c 1'
_space_group_IT_number 14
_cell_length_a 7.983
_cell_length_b 6.775
_cell_length_c 7.749
_cell_angle_alpha 90.00
_cell_angle_beta 91.29
_cell_angle_gamma 90.00
loop_
_space_group_symop_operation_xyz
'x,y,z'
'-x,-y,-z'
'-x,y+1/2,-z+1/2'
'x,-y+1/2,z+1/2'
loop_
_atom_site_label
_atom_site_fract_x
_atom_site_fract_y
_atom_site_fract_z
Ba1 0.237 0.117 0.497
Si1 0.075 0.578 0.372
Si2 0.436 0.650 0.685
Rh1 0.138 0.668 0.671
Rh2 0.378 0.604 0.386
```

The 10 most intense peaks (5 to 70 degrees two-theta), most intense first:
Position (°2θ), I (rel.), hkl
31.0, 100, 1 2 1
28.6, 59, 1 1 -2
28.2, 52, 2 1 -1
32.6, 43, 2 0 2
37.3, 42, 0 1 3
36.3, 36, 3 1 0
30.8, 34, 1 2 -1
57.2, 19, 3 2 3
48.8, 17, 4 1 -1
22.3, 15, 2 0 0

***

Record 2
Structure and theoretical X-ray diffraction stick pattern of Cs2SiAs2 (a crystal structure in the Materials Project, relaxed with GGA-PBE; Cu Kα, 1.54184 Å).
Lines closer than 0.1° are merged.

Crystal structure
```
data_Cs2SiAs2
_space_group_name_H-M_alt 'I b a m'
_space_group_IT_number 72
_space_group_name_Hall '-I 2 2c'
_cell_length_a 7.740
_cell_length_b 14.700
_cell_length_c 6.522
_cell_angle_alpha 90.00
_cell_angle_beta 90.00
_cell_angle_gamma 90.00
loop_
_atom_site_label
_atom_site_fract_x
_atom_site_fract_y
_atom_site_fract_z
Cs1 0.168 0.145 0.000
Si1 0.000 0.500 0.250
As1 0.153 0.409 0.000
```

The 10 most intense peaks (5 to 70 degrees two-theta), most intense first:
Position (°2θ), I (rel.), hkl
27.5, 100, 2 1 1
27.3, 58, 0 0 2
21.5, 56, 1 3 0
32.5, 54, 2 3 1
30.2, 51, 1 4 1
24.2, 48, 0 4 0
36.8, 45, 0 4 2
53.1, 35, 1 8 1
41.0, 25, 2 5 1
56.5, 25, 0 0 4

***

Record 3
Structure and theoretical X-ray diffraction stick pattern of Li2MgBr4 (a crystal structure in the Materials Project, relaxed with GGA-PBE; Cu Kα, 1.54184 Å).
Lines closer than 0.1° are merged.

Crystal structure
```
data_Li2MgBr4
_space_group_name_H-M_alt 'C m m m'
_space_group_IT_number 65
_space_group_name_Hall '-C 2 2'
_cell_length_a 7.861
_cell_length_b 11.138
_cell_length_c 3.891
_cell_angle_alpha 90.00
_cell_angle_beta 90.00
_cell_angle_gamma 90.00
loop_
_atom_site_label
_atom_site_fract_x
_atom_site_fract_y
_atom_site_fract_z
Li1 0.250 0.250 0.000
Mg1 0.000 0.000 0.500
Br1 0.000 0.241 0.500
Br2 0.238 0.000 0.000
```

The 10 most intense peaks (5 to 70 degrees two-theta), most intense first:
Position (°2θ), I (rel.), hkl
32.4, 100, 2 0 1
27.8, 96, 2 2 0
28.0, 95, 0 2 1
46.3, 88, 2 4 1
32.1, 50, 0 4 0
54.8, 39, 4 2 1
55.2, 27, 2 2 2
57.8, 18, 0 4 2
57.4, 18, 4 4 0
46.7, 18, 0 0 2